No. 1
Diffraction record for Te2Au. The XRD peak list is calculated, not measured: it uses DFT lattice parameters and positions (GGA-PBE) and Cu Kα (λ = 1.5418 Å).

Main lines, in order of rising 2θ (10° ≤ 2θ ≤ 90°):
2θ = 28.97°, intensity 100
2θ = 29.94°, intensity 42
2θ = 39.96°, intensity 16
2θ = 42.15°, intensity 61
2θ = 42.86°, intensity 19
2θ = 50.72°, intensity 14
2θ = 53.16°, intensity 17
2θ = 60.02°, intensity 13
2θ = 68.52°, intensity 12
2θ = 70.06°, intensity 16

Atomic structure:
Unit cell a=16.8800 b=8.9526 c=4.5126 alpha=90.00 beta=90.00 gamma=90.00
Fractional coordinates of all 24 atoms:
Te (0.0065, 0.1971, 0.3871)
Te (0.1196, 0.4703, 0.9279)
Te (0.1290, 0.8612, 0.0000)
Te (0.2500, 0.1247, 0.5865)
Te (0.2500, 0.5208, 0.4992)
Te (0.3710, 0.8612, 0.0000)
Te (0.3804, 0.4703, 0.9279)
Te (0.4935, 0.1971, 0.3871)
Te (0.5065, 0.8029, 0.3871)
Te (0.6196, 0.5297, 0.9279)
Te (0.6290, 0.1388, 0.0000)
Te (0.7500, 0.4792, 0.4992)
Te (0.7500, 0.8753, 0.5865)
Te (0.8710, 0.1388, 0.0000)
Te (0.8804, 0.5297, 0.9279)
Te (0.9935, 0.8029, 0.3871)
Au (0.0000, 0.5000, 0.4398)
Au (0.1260, 0.1668, 0.9737)
Au (0.2500, 0.8248, 0.4899)
Au (0.3740, 0.1668, 0.9737)
Au (0.5000, 0.5000, 0.4398)
Au (0.6260, 0.8332, 0.9737)
Au (0.7500, 0.1752, 0.4899)
Au (0.8740, 0.8332, 0.9737)

***

No. 2
Diffraction record for SrHfO3. The XRD peak list is calculated, not measured: it uses DFT lattice parameters and positions (GGA-PBE) and Cu Kα (λ = 1.5418 Å).

Main lines, in order of rising 2θ (10° ≤ 2θ ≤ 90°):
2θ = 21.46°, intensity 22
2θ = 30.53°, intensity 100
2θ = 43.72°, intensity 30
2θ = 49.20°, intensity 9
2θ = 54.26°, intensity 41
2θ = 63.54°, intensity 19
2θ = 67.90°, intensity 4
2θ = 72.13°, intensity 18
2θ = 80.31°, intensity 6
2θ = 88.30°, intensity 22

Atomic structure:
Unit cell a=4.1412 b=4.1412 c=4.1412 alpha=90.00 beta=90.00 gamma=90.00
Fractional coordinates of all 5 atoms:
Sr (0.0000, 0.0000, 0.0000)
Hf (0.5000, 0.5000, 0.5000)
O (0.0000, 0.5000, 0.5000)
O (0.5000, 0.0000, 0.5000)
O (0.5000, 0.5000, 0.0000)

***

No. 3
Diffraction record for P4S9. The XRD peak list is calculated, not measured: it uses DFT lattice parameters and positions (GGA-PBE) and Cu Kα (λ = 1.5418 Å).

Main lines, in order of rising 2θ (10° ≤ 2θ ≤ 90°):
2θ = 12.35°, intensity 100
2θ = 13.83°, intensity 21
2θ = 16.36°, intensity 31
2θ = 19.00°, intensity 33
2θ = 20.39°, intensity 25
2θ = 21.81°, intensity 18
2θ = 23.14°, intensity 18
2θ = 24.85°, intensity 33
2θ = 27.58°, intensity 35
2θ = 28.66°, intensity 57

Atomic structure:
Unit cell a=9.2253 b=13.6579 c=14.0322 alpha=90.00 beta=114.13 gamma=90.00
Fractional coordinates of all 52 atoms:
P (0.0208, 0.2384, 0.4916)
P (0.0208, 0.2616, 0.9916)
P (0.2055, 0.0970, 0.8881)
P (0.2055, 0.4030, 0.3881)
P (0.3192, 0.1088, 0.1561)
P (0.3192, 0.3912, 0.6561)
P (0.4135, 0.1983, 0.5274)
P (0.4135, 0.3017, 0.0274)
P (0.5865, 0.6983, 0.9726)
P (0.5865, 0.8017, 0.4726)
P (0.6808, 0.6088, 0.3439)
P (0.6808, 0.8912, 0.8439)
P (0.7945, 0.5970, 0.6119)
P (0.7945, 0.9030, 0.1119)
P (0.9792, 0.7384, 0.0084)
P (0.9792, 0.7616, 0.5084)
S (0.0118, 0.6672, 0.6356)
S (0.0118, 0.8328, 0.1356)
S (0.1008, 0.1782, 0.1309)
S (0.1008, 0.3218, 0.6309)
S (0.1713, 0.0102, 0.7732)
S (0.1713, 0.4898, 0.2732)
S (0.1793, 0.6787, 0.0301)
S (0.1793, 0.8213, 0.5301)
S (0.1918, 0.1321, 0.5027)
S (0.1918, 0.3679, 0.0027)
S (0.2849, 0.0148, 0.0285)
S (0.2849, 0.4852, 0.5285)
S (0.3768, 0.2039, 0.9013)
S (0.3768, 0.2961, 0.4013)
S (0.3856, 0.0320, 0.2820)
S (0.3856, 0.4680, 0.7820)
S (0.4884, 0.2164, 0.1666)
S (0.4884, 0.2836, 0.6666)
S (0.5116, 0.7164, 0.3334)
S (0.5116, 0.7836, 0.8334)
S (0.6144, 0.5320, 0.2180)
S (0.6144, 0.9680, 0.7180)
S (0.6232, 0.7039, 0.5987)
S (0.6232, 0.7961, 0.0987)
S (0.7151, 0.5148, 0.4715)
S (0.7151, 0.9852, 0.9715)
S (0.8082, 0.6321, 0.9973)
S (0.8082, 0.8679, 0.4973)
S (0.8207, 0.1787, 0.4699)
S (0.8207, 0.3213, 0.9699)
S (0.8287, 0.5102, 0.7268)
S (0.8287, 0.9898, 0.2268)
S (0.8992, 0.6782, 0.3691)
S (0.8992, 0.8218, 0.8691)
S (0.9882, 0.1672, 0.8644)
S (0.9882, 0.3328, 0.3644)

***

No. 4
Diffraction record for ZnH20PtC4N4O12. The XRD peak list is calculated, not measured: it uses DFT lattice parameters and positions (GGA-PBE) and Cu Kα (λ = 1.5418 Å).

Main lines, in order of rising 2θ (10° ≤ 2θ ≤ 90°):
2θ = 11.73°, intensity 51
2θ = 16.98°, intensity 100
2θ = 20.69°, intensity 58
2θ = 23.60°, intensity 44
2θ = 27.34°, intensity 36
2θ = 27.99°, intensity 23
2θ = 29.21°, intensity 36
2θ = 32.15°, intensity 23
2θ = 39.80°, intensity 22
2θ = 41.07°, intensity 21

Atomic structure:
Unit cell a=9.1772 b=9.1772 c=9.1772 alpha=133.57 beta=131.49 gamma=69.41
Fractional coordinates of all 42 atoms:
Zn (0.0000, 0.0000, 0.0000)
H (0.1281, 0.3009, 0.6125)
H (0.1319, 0.5280, 0.8450)
H (0.2019, 0.3448, 0.8627)
H (0.3015, 0.9453, 0.3554)
H (0.3108, 0.9214, 0.6089)
H (0.3116, 0.6991, 0.8272)
H (0.3125, 0.7019, 0.3911)
H (0.3170, 0.4720, 0.6039)
H (0.4100, 0.0547, 0.3562)
H (0.4821, 0.3392, 0.1373)
H (0.5179, 0.6552, 0.8571)
H (0.5900, 0.9462, 0.6446)
H (0.6830, 0.2869, 0.1550)
H (0.6875, 0.0786, 0.3894)
H (0.6884, 0.5157, 0.3875)
H (0.6892, 0.2981, 0.6106)
H (0.6985, 0.0538, 0.6438)
H (0.7981, 0.6608, 0.1429)
H (0.8681, 0.7131, 0.3961)
H (0.8719, 0.4843, 0.1728)
Pt (0.5000, 0.5000, 0.0000)
C (0.1814, 0.0737, 0.8907)
C (0.1829, 0.2907, 0.1093)
C (0.8171, 0.9263, 0.1078)
C (0.8186, 0.7093, 0.8922)
N (0.2078, 0.4087, 0.8078)
N (0.3991, 0.5913, 0.7991)
N (0.6009, 0.4000, 0.1922)
N (0.7922, 0.6000, 0.2009)
O (0.1057, 0.9168, 0.8090)
O (0.1078, 0.2968, 0.1910)
O (0.2552, 0.0718, 0.8130)
O (0.2587, 0.4422, 0.1870)
O (0.2808, 0.0000, 0.2808)
O (0.3515, 0.8515, 0.5000)
O (0.6485, 0.1485, 0.5000)
O (0.7192, 0.0000, 0.7192)
O (0.7413, 0.9282, 0.1835)
O (0.7448, 0.5578, 0.8165)
O (0.8922, 0.0832, 0.1890)
O (0.8943, 0.7032, 0.8110)

***

No. 5
Diffraction record for LiCu6OF11. The XRD peak list is calculated, not measured: it uses DFT lattice parameters and positions (GGA-PBE) and Cu Kα (λ = 1.5418 Å).

Main lines, in order of rising 2θ (10° ≤ 2θ ≤ 90°):
2θ = 26.01°, intensity 100
2θ = 26.94°, intensity 83
2θ = 30.69°, intensity 61
2θ = 33.24°, intensity 32
2θ = 33.41°, intensity 46
2θ = 35.78°, intensity 23
2θ = 52.39°, intensity 20
2θ = 53.50°, intensity 21
2θ = 55.55°, intensity 16
2θ = 56.49°, intensity 20

Atomic structure:
Unit cell a=4.7618 b=5.3959 c=8.7717 alpha=85.12 beta=88.93 gamma=88.26
Fractional coordinates of all 19 atoms:
Li (0.0000, 0.0000, 0.0000)
Cu (0.4753, 0.8516, 0.1998)
Cu (0.4866, 0.4815, 0.5220)
Cu (0.5338, 0.1102, 0.7937)
Cu (0.9677, 0.9994, 0.5230)
Cu (0.9714, 0.6056, 0.8370)
Cu (0.9884, 0.3643, 0.2041)
O (0.6843, 0.1968, 0.5997)
F (0.1691, 0.9231, 0.7996)
F (0.1700, 0.6670, 0.1210)
F (0.1738, 0.2805, 0.4372)
F (0.2666, 0.7846, 0.4472)
F (0.2800, 0.1499, 0.1118)
F (0.2816, 0.4302, 0.7534)
F (0.6716, 0.5522, 0.2835)
F (0.6872, 0.8168, 0.9404)
F (0.7722, 0.7082, 0.6038)
F (0.7869, 0.0514, 0.2465)
F (0.8017, 0.3054, 0.9278)

***

No. 6
Diffraction record for SiO2. The XRD peak list is calculated, not measured: it uses DFT lattice parameters and positions (GGA-PBE) and Cu Kα (λ = 1.5418 Å).

Main lines, in order of rising 2θ (10° ≤ 2θ ≤ 90°):
2θ = 13.36°, intensity 33
2θ = 13.50°, intensity 51
2θ = 14.98°, intensity 64
2θ = 20.10°, intensity 100
2θ = 20.35°, intensity 74
2θ = 21.37°, intensity 76
2θ = 23.46°, intensity 82
2θ = 25.78°, intensity 74
2θ = 26.12°, intensity 61
2θ = 28.96°, intensity 34

Atomic structure:
Unit cell a=11.6529 b=11.6529 c=7.7483 alpha=99.55 beta=99.55 gamma=71.69
Fractional coordinates of all 48 atoms:
Si (0.0318, 0.2629, 0.9042)
Si (0.0425, 0.6354, 0.7277)
Si (0.1015, 0.8741, 0.6990)
Si (0.1259, 0.8985, 0.3010)
Si (0.1337, 0.3617, 0.6255)
Si (0.2629, 0.0318, 0.9042)
Si (0.3617, 0.1337, 0.6255)
Si (0.3646, 0.9575, 0.2723)
Si (0.6354, 0.0425, 0.7277)
Si (0.6383, 0.8663, 0.3745)
Si (0.7371, 0.9682, 0.0958)
Si (0.8663, 0.6383, 0.3745)
Si (0.8741, 0.1015, 0.6990)
Si (0.8985, 0.1259, 0.3010)
Si (0.9575, 0.3646, 0.2723)
Si (0.9682, 0.7371, 0.0958)
O (0.9996, 0.3582, 0.0798)
O (0.0004, 0.6418, 0.9202)
O (0.0352, 0.0352, 0.2734)
O (0.0480, 0.3328, 0.7491)
O (0.0772, 0.3419, 0.4198)
O (0.0792, 0.7970, 0.1623)
O (0.1111, 0.7379, 0.7331)
O (0.1287, 0.8713, 0.5000)
O (0.1375, 0.5016, 0.6801)
O (0.1576, 0.1576, 0.9535)
O (0.2030, 0.9208, 0.8377)
O (0.2621, 0.8889, 0.2669)
O (0.2721, 0.2721, 0.6516)
O (0.3328, 0.0480, 0.7491)
O (0.3419, 0.0772, 0.4198)
O (0.3582, 0.9996, 0.0798)
O (0.4984, 0.8625, 0.3199)
O (0.5016, 0.1375, 0.6801)
O (0.6418, 0.0004, 0.9202)
O (0.6581, 0.9228, 0.5802)
O (0.6672, 0.9520, 0.2509)
O (0.7279, 0.7279, 0.3484)
O (0.7379, 0.1111, 0.7331)
O (0.7970, 0.0792, 0.1623)
O (0.8424, 0.8424, 0.0465)
O (0.8625, 0.4984, 0.3199)
O (0.8713, 0.1287, 0.5000)
O (0.8889, 0.2621, 0.2669)
O (0.9208, 0.2030, 0.8377)
O (0.9228, 0.6581, 0.5802)
O (0.9520, 0.6672, 0.2509)
O (0.9648, 0.9648, 0.7266)

***

What did the fourth record say?
Diffraction record for ZnH20PtC4N4O12. The XRD peak list is calculated, not measured: it uses DFT lattice parameters and positions (GGA-PBE) and Cu Kα (λ = 1.5418 Å).

Main lines, in order of rising 2θ (10° ≤ 2θ ≤ 90°):
2θ = 11.73°, intensity 51
2θ = 16.98°, intensity 100
2θ = 20.69°, intensity 58
2θ = 23.60°, intensity 44
2θ = 27.34°, intensity 36
2θ = 27.99°, intensity 23
2θ = 29.21°, intensity 36
2θ = 32.15°, intensity 23
2θ = 39.80°, intensity 22
2θ = 41.07°, intensity 21

Atomic structure:
Unit cell a=9.1772 b=9.1772 c=9.1772 alpha=133.57 beta=131.49 gamma=69.41
Fractional coordinates of all 42 atoms:
Zn (0.0000, 0.0000, 0.0000)
H (0.1281, 0.3009, 0.6125)
H (0.1319, 0.5280, 0.8450)
H (0.2019, 0.3448, 0.8627)
H (0.3015, 0.9453, 0.3554)
H (0.3108, 0.9214, 0.6089)
H (0.3116, 0.6991, 0.8272)
H (0.3125, 0.7019, 0.3911)
H (0.3170, 0.4720, 0.6039)
H (0.4100, 0.0547, 0.3562)
H (0.4821, 0.3392, 0.1373)
H (0.5179, 0.6552, 0.8571)
H (0.5900, 0.9462, 0.6446)
H (0.6830, 0.2869, 0.1550)
H (0.6875, 0.0786, 0.3894)
H (0.6884, 0.5157, 0.3875)
H (0.6892, 0.2981, 0.6106)
H (0.6985, 0.0538, 0.6438)
H (0.7981, 0.6608, 0.1429)
H (0.8681, 0.7131, 0.3961)
H (0.8719, 0.4843, 0.1728)
Pt (0.5000, 0.5000, 0.0000)
C (0.1814, 0.0737, 0.8907)
C (0.1829, 0.2907, 0.1093)
C (0.8171, 0.9263, 0.1078)
C (0.8186, 0.7093, 0.8922)
N (0.2078, 0.4087, 0.8078)
N (0.3991, 0.5913, 0.7991)
N (0.6009, 0.4000, 0.1922)
N (0.7922, 0.6000, 0.2009)
O (0.1057, 0.9168, 0.8090)
O (0.1078, 0.2968, 0.1910)
O (0.2552, 0.0718, 0.8130)
O (0.2587, 0.4422, 0.1870)
O (0.2808, 0.0000, 0.2808)
O (0.3515, 0.8515, 0.5000)
O (0.6485, 0.1485, 0.5000)
O (0.7192, 0.0000, 0.7192)
O (0.7413, 0.9282, 0.1835)
O (0.7448, 0.5578, 0.8165)
O (0.8922, 0.0832, 0.1890)
O (0.8943, 0.7032, 0.8110)